No. 1
# TbSiPd4
Computed PXRD pattern, Cu Kα, 1.54184 Å. Input: a crystal structure in Alexandria, relaxed with GGA-PBE.
Intensities are scaled so that the largest is 100.

Atomic structure:
a b c (Å): 7.750 3.845 6.917
angles (deg): 90.00 90.00 90.00
Element x y z (fractional)
Tb 0.250 0.000 0.133
Tb 0.750 0.000 0.867
Si 0.250 0.000 0.706
Si 0.750 0.000 0.294
Pd 0.000 0.000 0.500
Pd 0.063 0.500 0.807
Pd 0.250 0.500 0.447
Pd 0.437 0.500 0.807
Pd 0.500 0.000 0.500
Pd 0.563 0.500 0.193
Pd 0.750 0.500 0.553
Pd 0.937 0.500 0.193

Most intense lines, 5 to 70 degrees two-theta, in order of rising 2θ:
28.96°, intensity 22.5; 35.35°, intensity 100.0; 36.83°, intensity 58.7; 37.15°, intensity 32.6; 39.07°, intensity 31.2; 40.83°, intensity 15.1; 42.18°, intensity 56.3; 47.28°, intensity 31.9

=====

No. 2
# PrDy4Sc3
Computed PXRD pattern, Cu Kα, 1.54184 Å. Input: a crystal structure in Alexandria, relaxed with GGA-PBE.
Intensities are scaled so that the largest is 100.

Atomic structure:
a b c (Å): 10.985 7.070 6.080
angles (deg): 90.00 90.00 90.00
Element x y z (fractional)
Pr 0.000 0.118 0.000
Pr 0.500 0.882 0.500
Dy 0.000 0.370 0.497
Dy 0.000 0.632 0.991
Dy 0.245 0.631 0.336
Dy 0.255 0.369 0.836
Dy 0.500 0.368 0.491
Dy 0.500 0.630 0.997
Dy 0.745 0.369 0.836
Dy 0.755 0.631 0.336
Sc 0.000 0.877 0.502
Sc 0.249 0.120 0.329
Sc 0.251 0.880 0.829
Sc 0.500 0.123 0.002
Sc 0.749 0.880 0.829
Sc 0.751 0.120 0.329

Most intense lines, 5 to 70 degrees two-theta, in order of rising 2θ:
12.52°, intensity 20.3; 25.22°, intensity 20.5; 29.22°, intensity 22.9; 32.61°, intensity 35.3; 33.56°, intensity 100.0; 33.70°, intensity 46.8; 58.82°, intensity 28.6; 62.75°, intensity 20.9

=====

No. 3
# Na6Hg2AuO
Computed PXRD pattern, Cu Kα, 1.54184 Å. Input: a crystal structure in Alexandria, relaxed with GGA-PBE.
Intensities are scaled so that the largest is 100.

Atomic structure:
a b c (Å): 6.885 7.238 7.242
angles (deg): 89.88 61.71 61.64
Element x y z (fractional)
Na 0.000 0.000 0.000
Na 0.005 0.551 0.439
Na 0.019 0.989 0.435
Na 0.447 0.565 0.007
Na 0.558 0.986 0.432
Na 0.987 0.563 0.004
Hg 0.502 0.056 0.940
Hg 0.503 0.495 0.499
Au 0.003 0.276 0.719
O 0.003 0.776 0.219

Most intense lines, 5 to 70 degrees two-theta, in order of rising 2θ:
14.51°, intensity 27.1; 23.39°, intensity 31.8; 24.64°, intensity 100.0; 25.88°, intensity 24.3; 29.24°, intensity 28.0; 35.11°, intensity 33.8; 37.77°, intensity 21.7; 41.88°, intensity 24.5

=====

No. 4
# Ca5Se4Cl
Computed PXRD pattern, Cu Kα, 1.54184 Å. Input: a crystal structure in Alexandria, relaxed with GGA-PBE.
Intensities are scaled so that the largest is 100.

Atomic structure:
a b c (Å): 11.068 11.068 11.068
angles (deg): 158.12 149.11 38.18
Element x y z (fractional)
Ca 0.000 0.000 0.000
Ca 0.200 0.200 0.000
Ca 0.394 0.394 0.000
Ca 0.606 0.606 0.000
Ca 0.800 0.800 0.000
Se 0.097 0.597 0.500
Se 0.300 0.800 0.500
Se 0.700 0.200 0.500
Se 0.903 0.403 0.500
Cl 0.500 0.000 0.500

Most intense lines, 5 to 70 degrees two-theta, in order of rising 2θ:
26.08°, intensity 18.1; 30.15°, intensity 100.0; 30.32°, intensity 49.6; 43.06°, intensity 18.0; 43.28°, intensity 87.8; 53.57°, intensity 18.3; 53.73°, intensity 17.6; 62.68°, intensity 10.8